Simulated XRD peak list
Compound: Rb4CuSi2O7
Radiation: CuKα
Structure: the GGA-PBE geometry in the Materials Project
Intensities are scaled so that the largest is 100.

Cell and atoms:
```
data_Rb4CuSi2O7
_cell_length_a 6.3732
_cell_length_b 7.2198
_cell_length_c 7.2956
_cell_angle_alpha 114.55
_cell_angle_beta 100.23
_cell_angle_gamma 108.12
_symmetry_space_group_name_H-M 'P -1'
_symmetry_Int_Tables_number 2
loop_
_symmetry_equiv_pos_as_xyz
'x,y,z'
'-x,-y,-z'
loop_
_atom_site_label
_atom_site_type_symbol
_atom_site_fract_x
_atom_site_fract_y
_atom_site_fract_z
Rb1 Rb 0.0686 0.0435 0.2781
Rb2 Rb 0.3224 0.5775 0.2151
Cu1 Cu 0.5000 0.0000 0.0000
Si1 Si 0.2154 0.5801 0.7232
O1 O 0.0000 0.5000 0.5000
O2 O 0.1831 0.7690 0.9325
O3 O 0.2025 0.3585 0.7344
O4 O 0.4734 0.7411 0.7324
```

Main lines, most intense first (15° ≤ 2θ ≤ 90°):
| 2θ/deg | intensity | index |
| --- | --- | --- |
| 27.3 | 100 | 1 1 -2 |
| 26.0 | 84 | 1 -2 1 |
| 28.5 | 68 | 2 -1 0 |
| 32.1 | 63 | 1 -2 2 |
| 36.2 | 47 | 2 1 -1 |
| 28.8 | 45 | 0 0 2 |

=====

Simulated XRD peak list
Compound: SrCu3Ru4O12
Radiation: CuKα
Structure: the GGA-PBE geometry in the Materials Project
Intensities are scaled so that the largest is 100.

Cell and atoms:
```
data_SrCu3Ru4O12
_cell_length_a 7.5381
_cell_length_b 7.5381
_cell_length_c 7.5381
_cell_angle_alpha 90.00
_cell_angle_beta 90.00
_cell_angle_gamma 90.00
_symmetry_space_group_name_H-M 'I m -3'
_symmetry_Int_Tables_number 204
_symmetry_space_group_name_Hall '-I 2 2 3'
loop_
_atom_site_label
_atom_site_type_symbol
_atom_site_fract_x
_atom_site_fract_y
_atom_site_fract_z
Sr1 Sr 0.0000 0.0000 0.0000
Cu1 Cu 0.0000 0.0000 0.5000
Ru1 Ru 0.2500 0.2500 0.2500
O1 O 0.0000 0.3105 0.1745
```

Main lines, most intense first (15° ≤ 2θ ≤ 90°):
| 2θ/deg | intensity | index |
| --- | --- | --- |
| 33.6 | 100 | 2 2 0 |
| 60.1 | 47 | 4 2 2 |
| 48.3 | 24 | 4 0 0 |
| 80.6 | 17 | 6 2 0 |
| 70.7 | 12 | 4 4 0 |
| 23.6 | 6 | 2 0 0 |